# CoBiO4
Theoretical powder diffraction line list, Cu Kα (λ = 1.5418 Å). Input: a cell relaxed with GGA+U.
Intensities are scaled so that the largest is 100.

Most intense lines, 2θ = 15–90°, by angle:
(1 1 0), 19.1 deg, intensity 55
(0 2 0), 27.0 deg, intensity 55
(2 0 0), 27.3 deg, intensity 50
(1 1 1), 33.0 deg, intensity 100
(2 0 1), 38.5 deg, intensity 23
(2 2 0), 38.7 deg, intensity 26
(2 2 1), 47.6 deg, intensity 15
(1 3 1), 51.6 deg, intensity 40
(3 1 1), 51.9 deg, intensity 35
(3 3 1), 66.5 deg, intensity 21

Structure:
Lattice parameters (Å, degrees): 6.544 6.610 3.345 90.00 90.00 90.00
Fractional coordinates of all 12 atoms:
1 Co 0.000 0.000 0.000
2 Co 0.500 0.500 0.000
3 Bi 0.000 0.500 0.500
4 Bi 0.500 0.000 0.500
5 O 0.000 0.176 0.500
6 O 0.000 0.824 0.500
7 O 0.214 0.500 0.000
8 O 0.286 0.000 0.000
9 O 0.500 0.324 0.500
10 O 0.500 0.676 0.500
11 O 0.714 0.000 0.000
12 O 0.786 0.500 0.000